Computed powder diffraction line list
Compound: Sr3CaMn2FeO10
Radiation: λ = 1.5418 Å (Cu Kα)
Structure: a cell relaxed with GGA+U
Kinematic intensities with the Lorentz-polarization factor, no thermal factor.

Top 10 peaks for 2θ = 5–70°, by intensity:
d (Å)  I (rel.)
2.781  100
2.732  64
1.932  45
1.586  36
2.155  19
1.390  18
2.003  17
1.615  15
1.366  13
14.020  6

```
Sr3CaMn2FeO10
1.0
-1.932 1.932 14.020
1.932 -1.932 14.020
1.932 1.932 -14.020
Sr Ca Mn Fe O
3 1 2 1 10
Direct
0.000 0.000 0.000
0.133 0.133 0.000
0.403 0.403 0.000
0.271 0.271 0.000
0.562 0.562 0.000
0.842 0.842 0.000
0.703 0.703 0.000
0.063 0.563 0.500
0.204 0.704 0.500
0.339 0.839 0.500
0.493 0.493 0.000
0.563 0.063 0.500
0.632 0.632 0.000
0.704 0.204 0.500
0.772 0.772 0.000
0.839 0.339 0.500
0.910 0.910 0.000
```

=====

Computed powder diffraction line list
Compound: Sr2MgMnMoO6
Radiation: λ = 1.5418 Å (Cu Kα)
Structure: a cell relaxed with GGA+U
Kinematic intensities with the Lorentz-polarization factor, no thermal factor.

Top 10 peaks for 2θ = 5–70°, by intensity:
d (Å)  I (rel.)
2.871  100
3.138  93
2.847  74
3.213  61
3.299  50
2.687  42
2.055  35
1.867  32
2.583  28
5.019  26

```
Sr2MgMnMoO6
1.0
5.435 0.000 0.000
-0.514 5.703 0.000
-1.865 -2.566 5.165
Sr Mg Mn Mo O
2 1 1 1 6
Direct
0.179 0.230 0.419
0.821 0.770 0.581
0.500 0.500 0.000
0.500 0.000 0.000
0.000 0.500 0.000
0.194 0.177 0.862
0.208 0.645 0.824
0.343 0.647 0.313
0.657 0.353 0.687
0.792 0.355 0.176
0.806 0.823 0.138
```

=====

Computed powder diffraction line list
Compound: MgFe2O5
Radiation: λ = 1.5418 Å (Cu Kα)
Structure: a cell relaxed with GGA+U
Kinematic intensities with the Lorentz-polarization factor, no thermal factor.

Top 10 peaks for 2θ = 5–70°, by intensity:
d (Å)  I (rel.)
3.645  100
2.692  52
4.840  48
1.964  35
4.881  27
2.506  20
2.179  19
1.587  19
1.537  18
2.416  17

```
MgFe2O5
1.0
1.964 -4.881 0.000
1.964 4.881 0.000
0.000 0.000 9.681
Mg Fe O
2 4 10
Direct
0.204 0.796 0.500
0.796 0.204 0.000
0.139 0.861 0.812
0.140 0.860 0.192
0.860 0.140 0.692
0.861 0.139 0.312
0.041 0.959 0.369
0.048 0.952 0.640
0.218 0.782 0.995
0.306 0.694 0.695
0.311 0.689 0.309
0.689 0.311 0.809
0.694 0.306 0.195
0.782 0.218 0.495
0.952 0.048 0.140
0.959 0.041 0.869
```

=====

Computed powder diffraction line list
Compound: CoF3
Radiation: λ = 1.5418 Å (Cu Kα)
Structure: a cell relaxed with GGA+U
Kinematic intensities with the Lorentz-polarization factor, no thermal factor.

Top 10 peaks for 2θ = 5–70°, by intensity:
d (Å)  I (rel.)
3.835  100
3.854  51
1.917  27
2.711  21
1.719  17
1.715  17
1.927  14
1.356  11
2.726  10
1.726  9

```
CoF3
1.0
8.151 -2.714 0.000
8.151 2.714 0.000
-1.761 0.000 5.125
Co F
4 12
Direct
0.125 0.625 0.625
0.375 0.875 0.875
0.625 0.125 0.125
0.875 0.375 0.375
0.000 0.500 0.500
0.117 0.133 0.133
0.133 0.117 0.633
0.250 0.750 0.750
0.366 0.382 0.382
0.382 0.366 0.882
0.500 0.000 0.000
0.618 0.634 0.118
0.634 0.618 0.618
0.750 0.250 0.250
0.867 0.883 0.367
0.883 0.867 0.867
```

=====

Computed powder diffraction line list
Compound: Li9Mn7O16
Radiation: λ = 1.5418 Å (Cu Kα)
Structure: a cell relaxed with GGA+U
Kinematic intensities with the Lorentz-polarization factor, no thermal factor.

Top 10 peaks for 2θ = 5–70°, by intensity:
d (Å)  I (rel.)
4.862  100
2.214  35
2.055  28
2.053  27
2.484  23
2.649  18
1.466  9
1.588  9
1.514  8
1.510  8

```
Li9Mn7O16
1.0
6.010 0.000 0.000
0.450 6.059 0.000
0.289 2.889 8.211
Li Mn O
9 7 16
Direct
0.000 0.000 0.000
0.000 0.500 0.000
0.254 0.381 0.754
0.256 0.864 0.760
0.498 0.251 0.497
0.500 0.500 0.000
0.502 0.749 0.503
0.744 0.136 0.240
0.746 0.619 0.246
0.002 0.750 0.503
0.257 0.136 0.247
0.257 0.628 0.248
0.500 0.000 0.000
0.743 0.372 0.752
0.743 0.864 0.753
0.998 0.250 0.497
0.003 0.361 0.255
0.023 0.870 0.262
0.242 0.025 0.485
0.242 0.520 0.491
0.259 0.230 0.011
0.277 0.773 0.013
0.475 0.379 0.250
0.498 0.100 0.764
0.502 0.900 0.236
0.525 0.621 0.750
0.723 0.227 0.987
0.741 0.770 0.989
0.758 0.480 0.509
0.758 0.975 0.515
0.977 0.130 0.738
0.997 0.639 0.745
```